For Sr2CoGe2O7, a structure optimized by DFT (PBE+U) gives the calculated powder diffraction line list in this record (Cu Kα (λ = 1.5418 Å)).
No peak broadening, texture or thermal motion is included.

Cell: 8.1430 8.1430 5.3056 Å, 90.00 90.00 90.00°
Space group P-42_1m (No. 113)
One atom of each set of equivalent atoms:
Sr1 0.1647 0.3353 0.4940 x4
Co1 0.0000 0.0000 0.0000 x2
Ge1 0.1439 0.6439 0.9514 x4
O1 0.0000 0.5000 0.8164 x2
O2 0.0813 0.8223 0.7859 x8
O3 0.1385 0.6385 0.2778 x4

The 6 most intense peaks (10° ≤ 2θ ≤ 90°), sorted by position:
- hkl 2 0 1, 27.62 deg, intensity 15.2
- hkl 2 1 1, 29.76 deg, intensity 100.0
- hkl 3 1 0, 34.84 deg, intensity 25.0
- hkl 3 1 2, 49.29 deg, intensity 35.8
- hkl 2 1 3, 57.97 deg, intensity 10.7
- hkl 5 2 1, 64.03 deg, intensity 14.4